Entry 1:
Calculated X-ray powder pattern
Compound: NbOF3
Radiation: Cu Kα (weighted mean of Kα1 and Kα2)
Structure: a structure optimized by DFT (GGA-PBE)
Intensities are scaled so that the largest is 1000.

Structure:
```
data_NbOF3
_cell_length_a 3.890
_cell_length_b 4.128
_cell_length_c 8.730
_cell_angle_alpha 90.00
_cell_angle_beta 90.00
_cell_angle_gamma 90.00
_symmetry_space_group_name_H-M 'I m m m'
_symmetry_Int_Tables_number 71
_symmetry_space_group_name_Hall '-I 2 2'
loop_
_atom_site_label
_atom_site_type_symbol
_atom_site_fract_x
_atom_site_fract_y
_atom_site_fract_z
Nb1 Nb 0.000 0.000 0.000
O1 O 0.000 0.500 0.500
F1 F 0.000 0.000 0.220
F2 F 0.000 0.500 0.000
```

The 12 most intense peaks (2θ = 5–70°), in order of falling intensity:
2theta  I/Imax
23.85  1000
25.06  985
20.34  671
31.61  461
41.37  279
51.19  263
43.87  263
46.70  214
53.10  207
37.84  178
52.98  169
38.64  164


Entry 2:
Calculated X-ray powder pattern
Compound: Ge3N4
Radiation: Cu Kα (weighted mean of Kα1 and Kα2)
Structure: a structure optimized by DFT (GGA-PBE)
Intensities are scaled so that the largest is 1000.

Structure:
```
data_Ge3N4
_cell_length_a 8.1204
_cell_length_b 8.1204
_cell_length_c 3.1101
_cell_angle_alpha 90.00
_cell_angle_beta 90.00
_cell_angle_gamma 120.00
_symmetry_space_group_name_H-M 'P 63/m'
_symmetry_Int_Tables_number 176
_symmetry_space_group_name_Hall '-P 6c'
loop_
_atom_site_label
_atom_site_type_symbol
_atom_site_fract_x
_atom_site_fract_y
_atom_site_fract_z
Ge1 Ge 0.1711 0.7648 0.2500
N1 N 0.0277 0.6972 0.7500
N2 N 0.3333 0.6667 0.2500
```

The 12 most intense peaks (2θ = 5–70°), in order of falling intensity:
2theta  I/Imax
33.72  1000
31.45  771
38.65  613
25.33  571
48.64  447
65.14  384
21.89  221
68.14  215
12.59  184
57.09  130
59.44  124
55.62  121


Entry 3:
Calculated X-ray powder pattern
Compound: Al2Si2H4O9
Radiation: Cu Kα (weighted mean of Kα1 and Kα2)
Structure: a structure optimized by DFT (GGA-PBE)
Intensities are scaled so that the largest is 1000.

Structure:
```
data_Al2Si2H4O9
_cell_length_a 9.064
_cell_length_b 5.435
_cell_length_c 18.504
_cell_angle_alpha 90.00
_cell_angle_beta 95.06
_cell_angle_gamma 90.00
_symmetry_space_group_name_H-M 'C 1 c 1'
_symmetry_Int_Tables_number 9
_symmetry_space_group_name_Hall 'C -2yc'
loop_
_atom_site_label
_atom_site_type_symbol
_atom_site_fract_x
_atom_site_fract_y
_atom_site_fract_z
Al1 Al 0.000 0.061 0.000
Al2 Al 0.311 0.153 0.060
Si1 Si 0.066 0.163 0.831
Si2 Si 0.424 0.164 0.828
H1 H 0.032 0.490 0.429
H2 H 0.200 0.273 0.660
H3 H 0.210 0.388 0.683
H4 H 0.231 0.279 0.218
O1 O 0.042 0.185 0.917
O2 O 0.146 0.017 0.064
O3 O 0.243 0.151 0.819
O4 O 0.338 0.430 0.022
O5 O 0.440 0.105 0.536
O6 O 0.465 0.033 0.607
O7 O 0.482 0.420 0.793
O8 O 0.490 0.173 0.915
O9 O 0.491 0.086 0.293
```

The 12 most intense peaks (2θ = 5–70°), in order of falling intensity:
2theta  I/Imax
19.26  1000
9.60  936
19.67  602
26.59  333
19.88  318
22.69  262
19.06  223
19.45  204
34.79  168
36.09  150
33.33  121
30.23  108


Entry 4:
Calculated X-ray powder pattern
Compound: LaMg2Si2
Radiation: Cu Kα (weighted mean of Kα1 and Kα2)
Structure: a structure optimized by DFT (GGA-PBE)
Intensities are scaled so that the largest is 1000.

Structure:
```
data_LaMg2Si2
_cell_length_a 4.308
_cell_length_b 4.308
_cell_length_c 5.845
_cell_angle_alpha 90.00
_cell_angle_beta 90.00
_cell_angle_gamma 90.00
_symmetry_space_group_name_H-M 'P 4/m m m'
_symmetry_Int_Tables_number 123
_symmetry_space_group_name_Hall '-P 4 2'
loop_
_atom_site_label
_atom_site_type_symbol
_atom_site_fract_x
_atom_site_fract_y
_atom_site_fract_z
La1 La 0.000 0.000 0.000
Mg1 Mg 0.000 0.500 0.500
Si1 Si 0.500 0.500 0.198
```

The 12 most intense peaks (2θ = 5–70°), in order of falling intensity:
2theta  I/Imax
33.17  1000
25.69  626
37.18  566
15.16  413
41.95  364
29.32  331
57.28  317
51.48  224
20.62  220
49.84  208
68.50  190
30.59  147


Entry 5:
Calculated X-ray powder pattern
Compound: NaAlSiO4
Radiation: Cu Kα (weighted mean of Kα1 and Kα2)
Structure: a structure optimized by DFT (GGA-PBE)
Intensities are scaled so that the largest is 1000.

Structure:
```
data_NaAlSiO4
_cell_length_a 7.417
_cell_length_b 7.417
_cell_length_c 7.417
_cell_angle_alpha 90.00
_cell_angle_beta 90.00
_cell_angle_gamma 90.00
_symmetry_space_group_name_H-M 'P 21 3'
_symmetry_Int_Tables_number 198
_symmetry_space_group_name_Hall 'P 2ac 2ab 3'
loop_
_atom_site_label
_atom_site_type_symbol
_atom_site_fract_x
_atom_site_fract_y
_atom_site_fract_z
Na1 Na 0.229 0.271 0.729
Al1 Al 0.217 0.717 0.783
Si1 Si 0.022 0.022 0.022
O1 O 0.030 0.629 0.665
O2 O 0.148 0.148 0.148
```

The 12 most intense peaks (2θ = 5–70°), in order of falling intensity:
2theta  I/Imax
20.74  1000
34.19  591
45.77  199
61.22  187
26.88  150
29.50  128
64.01  118
69.41  72
56.89  71
36.34  65
24.00  59
53.88  53


Entry 6:
Calculated X-ray powder pattern
Compound: PO2
Radiation: Cu Kα (weighted mean of Kα1 and Kα2)
Structure: a structure optimized by DFT (GGA-PBE)
Intensities are scaled so that the largest is 1000.

Structure:
```
data_PO2
_cell_length_a 6.321
_cell_length_b 2.678
_cell_length_c 9.845
_cell_angle_alpha 90.00
_cell_angle_beta 100.47
_cell_angle_gamma 90.00
_symmetry_space_group_name_H-M 'C 1 m 1'
_symmetry_Int_Tables_number 8
_symmetry_space_group_name_Hall 'C -2y'
loop_
_atom_site_label
_atom_site_type_symbol
_atom_site_fract_x
_atom_site_fract_y
_atom_site_fract_z
P1 P 0.000 0.000 0.000
O1 O 0.216 0.000 0.095
O2 O 0.491 0.000 0.894
```

The 12 most intense peaks (2θ = 5–70°), in order of falling intensity:
2theta  I/Imax
9.13  1000
18.33  100
31.25  34
28.53  34
44.70  28
39.91  26
37.08  24
51.00  19
28.73  19
36.31  19
58.48  14
38.41  12


Entry 7:
Calculated X-ray powder pattern
Compound: Hf9CoW4
Radiation: Cu Kα (weighted mean of Kα1 and Kα2)
Structure: a structure optimized by DFT (GGA-PBE)
Intensities are scaled so that the largest is 1000.

Structure:
```
data_Hf9CoW4
_cell_length_a 8.6921
_cell_length_b 8.6921
_cell_length_c 8.4716
_cell_angle_alpha 90.00
_cell_angle_beta 90.00
_cell_angle_gamma 120.00
_symmetry_space_group_name_H-M 'P 63/m m c'
_symmetry_Int_Tables_number 194
_symmetry_space_group_name_Hall '-P 6c 2c'
loop_
_atom_site_label
_atom_site_type_symbol
_atom_site_fract_x
_atom_site_fract_y
_atom_site_fract_z
Hf1 Hf 0.0838 0.5419 0.2500
Hf2 Hf 0.2013 0.4025 0.5594
Co1 Co 0.3333 0.6667 0.7500
W1 W 0.0000 0.0000 0.0000
W2 W 0.1123 0.2247 0.2500
```

The 12 most intense peaks (2θ = 5–70°), in order of falling intensity:
2theta  I/Imax
38.10  1000
37.38  782
39.91  466
66.60  286
63.10  269
33.90  268
65.83  235
41.56  198
64.30  196
35.79  176
11.76  159
31.44  142